For Ac2TmMgO6, DFT lattice parameters and positions (GGA-PBE) gives the simulated powder diffraction line list in this record (Cu Kα X-rays).
No peak broadening, texture or thermal motion is included.

```
20
Lattice="5.8795 0.0000 0.0000 0.0000 6.0007 0.0000 -5.8026 0.0000 8.3419" Properties=species:S:1:pos:R:3 pbc="T T T"
Ac -0.0584 0.2776 2.0780
Ac -2.9597 2.7227 6.2490
Ac 3.0366 3.2780 2.0929
Ac 0.1353 5.7231 6.2639
Tm 2.9398 0.0000 0.0000
Tm 0.0385 3.0003 4.1710
Mg -2.9013 0.0000 4.1710
Mg 0.0000 3.0003 0.0000
O -4.6318 1.2561 7.9054
O -1.7305 1.7443 3.7344
O -4.1047 4.2132 7.9021
O -1.2034 4.7878 3.7312
O -2.3089 0.2209 6.2086
O 0.5924 2.7794 2.0376
O -0.5155 3.2213 6.3043
O 2.3858 5.7798 2.1333
O 1.2803 1.2129 4.6107
O 4.1816 1.7875 0.4398
O 1.8074 4.2564 4.6075
O 4.7087 4.7446 0.4365
```

Peak list (10 most intense, 2θ = 10–80°, in order of falling intensity)
two_theta, d (Å), I (rel.), hkl
30.10, 2.969, 100, 1 1 1
30.30, 2.950, 99, 1 1 -3
30.41, 2.940, 49, 2 0 -2
29.78, 3.000, 43, 0 2 0
43.08, 2.100, 42, 2 2 -2
53.69, 1.707, 35, 2 0 2
54.11, 1.695, 34, 3 1 -5
21.16, 4.200, 28, 1 1 -1
43.39, 2.085, 26, 0 0 4
53.51, 1.712, 20, 0 2 4

For LiNb2Te4Cl10O, DFT lattice parameters and positions (GGA-PBE) gives the simulated powder diffraction line list in this record (Cu Kα X-rays).
No peak broadening, texture or thermal motion is included.

```
18
Lattice="7.2803 0.0000 0.0000 1.8445 8.7974 0.0000 0.4430 1.5681 9.1260" Properties=species:S:1:pos:R:3 pbc="T T T"
Li 0.0000 0.0000 0.0000
Nb 1.4803 5.8138 1.1581
Nb 8.0876 4.5517 7.9678
Te 2.7543 1.5835 3.1902
Te 4.6985 7.9278 4.3951
Te 4.8694 2.4377 4.7308
Te 6.8135 8.7820 5.9357
Cl 2.2068 7.8986 2.4360
Cl 2.2277 5.1724 6.2193
Cl 3.4107 8.1817 8.5582
Cl 2.4921 3.0445 8.8454
Cl 3.3166 4.6263 2.1655
Cl 6.2513 5.7392 6.9605
Cl 7.0757 7.3210 0.2805
Cl 6.1572 2.1838 0.5678
Cl 7.3402 5.1932 2.9067
Cl 7.3610 2.4669 6.6899
O 0.9222 4.3987 0.0000
```

Peak list (10 most intense, 2θ = 10–80°, in order of falling intensity)
two_theta, d (Å), I (rel.), hkl
15.87, 5.583, 100, 1 0 -1
19.37, 4.583, 24, -1 1 1
35.82, 2.507, 23, 1 -3 0
15.24, 5.813, 23, 0 1 -1
31.73, 2.820, 19, 1 2 -2
20.41, 4.350, 19, 0 1 2
14.42, 6.140, 19, 1 1 0
32.98, 2.716, 18, 2 2 2
23.28, 3.821, 18, 1 0 -2
31.06, 2.880, 17, 2 -1 1